Entry 1:
For K6OsN4, a DFT-relaxed cell (GGA-PBE, Alexandria) gives the calculated XRD peak list in this record (Cu Ka).

Structure:
Cell lengths 8.756, 8.756, 7.717 Å; angles 90.00, 90.00, 90.00 degrees
Space group P4_2/nmc (No. 137, origin choice 2)
One atom of each set of equivalent atoms:
K: 0.025 0.525 0.250
K: 0.250 0.250 0.020
Os: 0.250 0.750 0.750
N: 0.077 0.750 0.882

Main lines, low angle first (2θ = 10–90°):
- 14.3°, rel. 280
- 15.3°, rel. 1000
- 25.5°, rel. 733
- 27.2°, rel. 516
- 28.8°, rel. 463
- 32.8°, rel. 301
- 40.1°, rel. 328
- 56.2°, rel. 215

Entry 2:
For KPa2OsN5, a DFT-relaxed cell (GGA-PBE, Alexandria) gives the calculated XRD peak list in this record (Cu Ka).

Structure:
Cell lengths 6.737, 6.737, 11.531 Å; angles 90.00, 90.00, 90.00 degrees
Space group I4/mcm (No. 140)
One atom of each set of equivalent atoms:
K: 0.000 0.000 0.250
Pa: 0.189 0.311 0.000
Os: 0.000 0.500 0.250
N: 0.000 0.000 0.000
N: 0.136 0.364 0.372

Main lines, low angle first (2θ = 10–90°):
- 15.4°, rel. 164
- 18.6°, rel. 186
- 30.7°, rel. 1000
- 31.0°, rel. 232
- 37.8°, rel. 154
- 37.9°, rel. 274
- 45.4°, rel. 160
- 56.9°, rel. 161

Entry 3:
For KTh3P4N12, a DFT-relaxed cell (GGA-PBE, Alexandria) gives the calculated XRD peak list in this record (Cu Ka).

Structure:
Cell lengths 11.2722, 11.2722, 9.4503 Å; angles 90.00, 90.00, 120.00 degrees
Space group R32 (No. 155, hexagonal axes)
One atom of each set of equivalent atoms:
K: 0.0000 0.0000 0.0000
Th: 0.0000 0.5437 0.0000
P: 0.0000 0.0000 0.5000
P: 0.0000 0.4595 0.5000
N: 0.0000 0.5993 0.5000
N: 0.0000 0.8590 0.5000
N: 0.0114 0.2089 0.1952

Main lines, low angle first (2θ = 10–90°):
- 15.7°, rel. 424
- 20.5°, rel. 647
- 25.9°, rel. 296
- 26.3°, rel. 1000
- 31.8°, rel. 310
- 34.5°, rel. 302
- 38.3°, rel. 309
- 42.5°, rel. 337

Entry 4:
For KTm2P2N6, a DFT-relaxed cell (GGA-PBE, Alexandria) gives the calculated XRD peak list in this record (Cu Ka).

Structure:
Cell lengths 6.213, 6.306, 6.409 Å; angles 117.05, 118.92, 90.06 degrees
Space group P-1 (No. 2)
One atom of each set of equivalent atoms:
K: 0.000 0.000 0.000
Tm: 0.325 0.696 0.649
P: 0.344 0.253 0.688
N: 0.088 0.332 0.596
N: 0.435 0.131 0.871
N: 0.493 0.669 0.405

Main lines, low angle first (2θ = 10–90°):
- 17.0°, rel. 769
- 17.2°, rel. 993
- 18.5°, rel. 435
- 27.0°, rel. 640
- 28.7°, rel. 588
- 31.5°, rel. 1000
- 32.8°, rel. 699
- 33.7°, rel. 778

Entry 5:
For KU2PN5, a DFT-relaxed cell (GGA-PBE, Alexandria) gives the calculated XRD peak list in this record (Cu Ka).

Structure:
Cell lengths 6.629, 6.629, 10.637 Å; angles 90.00, 90.00, 90.00 degrees
Space group I4/mcm (No. 140)
One atom of each set of equivalent atoms:
K: 0.000 0.000 0.250
U: 0.193 0.307 0.000
P: 0.000 0.500 0.250
N: 0.000 0.000 0.000
N: 0.131 0.369 0.356

Main lines, low angle first (2θ = 10–90°):
- 16.7°, rel. 1000
- 26.9°, rel. 311
- 31.3°, rel. 805
- 31.8°, rel. 982
- 33.7°, rel. 315
- 39.6°, rel. 663
- 58.0°, rel. 404
- 63.5°, rel. 322

Entry 6:
For KPa2N4, a DFT-relaxed cell (GGA-PBE, Alexandria) gives the calculated XRD peak list in this record (Cu Ka).

Structure:
Cell lengths 10.148, 10.148, 10.148 Å; angles 90.00, 90.00, 90.00 degrees
Space group Fd-3m (No. 227, origin choice 2)
One atom of each set of equivalent atoms:
K: 0.125 0.125 0.125
Pa: 0.000 0.000 0.500
N: 0.027 0.027 0.723

Main lines, low angle first (2θ = 10–90°):
- 15.1°, rel. 1000
- 29.2°, rel. 903
- 30.5°, rel. 702
- 35.4°, rel. 453
- 46.5°, rel. 387
- 50.9°, rel. 429
- 53.4°, rel. 241
- 60.5°, rel. 363

Entry 7:
For KPa2RuN4, a DFT-relaxed cell (GGA-PBE, Alexandria) gives the calculated XRD peak list in this record (Cu Ka).

Structure:
Cell lengths 3.595, 12.094, 12.176 Å; angles 90.00, 90.00, 90.00 degrees
Space group Cmcm (No. 63)
One atom of each set of equivalent atoms:
K: 0.000 0.072 0.250
Pa: 0.000 0.365 0.058
Ru: 0.000 0.200 0.750
N: 0.000 0.000 0.000
N: 0.000 0.247 0.588
N: 0.000 0.386 0.250

Main lines, low angle first (2θ = 10–90°):
- 14.6°, rel. 654
- 16.4°, rel. 744
- 26.4°, rel. 729
- 29.8°, rel. 610
- 34.2°, rel. 1000
- 36.6°, rel. 653
- 50.6°, rel. 456
- 50.8°, rel. 538

Entry 8:
For K4Pa3SiN8, a DFT-relaxed cell (GGA-PBE, Alexandria) gives the calculated XRD peak list in this record (Cu Ka).

Structure:
Cell lengths 12.698, 6.649, 7.484 Å; angles 90.00, 119.58, 90.00 degrees
Space group C2/m (No. 12)
One atom of each set of equivalent atoms:
K: 0.000 0.000 0.000
K: 0.000 0.500 0.000
K: 0.250 0.250 0.000
Pa: 0.000 0.000 0.500
Pa: 0.250 0.250 0.500
Si: 0.000 0.500 0.500
N: 0.030 0.292 0.358
N: 0.208 0.000 0.665
N: 0.227 0.000 0.296

Main lines, low angle first (2θ = 10–90°):
- 13.6°, rel. 1000
- 27.4°, rel. 377
- 30.4°, rel. 263
- 30.9°, rel. 214
- 31.4°, rel. 472
- 32.4°, rel. 326
- 36.2°, rel. 483
- 47.5°, rel. 207

Entry 9:
For KPaSiN4, a DFT-relaxed cell (GGA-PBE, Alexandria) gives the calculated XRD peak list in this record (Cu Ka).

Structure:
Cell lengths 5.975, 4.125, 8.694 Å; angles 90.00, 102.30, 90.00 degrees
Space group P2_1/m (No. 11)
One atom of each set of equivalent atoms:
K: 0.234 0.250 0.493
Pa: 0.219 0.250 0.920
Si: 0.282 0.750 0.192
N: 0.068 0.750 0.293
N: 0.135 0.750 0.992
N: 0.483 0.073 0.189

Main lines, low angle first (2θ = 10–90°):
- 10.4°, rel. 1000
- 24.0°, rel. 164
- 26.5°, rel. 328
- 27.3°, rel. 190
- 28.5°, rel. 144
- 30.2°, rel. 283
- 30.6°, rel. 138
- 31.8°, rel. 187

Repeat the second record exactly.
For KPa2OsN5, a DFT-relaxed cell (GGA-PBE, Alexandria) gives the calculated XRD peak list in this record (Cu Ka).

Structure:
Cell lengths 6.737, 6.737, 11.531 Å; angles 90.00, 90.00, 90.00 degrees
Space group I4/mcm (No. 140)
One atom of each set of equivalent atoms:
K: 0.000 0.000 0.250
Pa: 0.189 0.311 0.000
Os: 0.000 0.500 0.250
N: 0.000 0.000 0.000
N: 0.136 0.364 0.372

Main lines, low angle first (2θ = 10–90°):
- 15.4°, rel. 164
- 18.6°, rel. 186
- 30.7°, rel. 1000
- 31.0°, rel. 232
- 37.8°, rel. 154
- 37.9°, rel. 274
- 45.4°, rel. 160
- 56.9°, rel. 161